# 1
Cd2H5Pt3: calculated powder X-ray diffraction pattern (Cu Kα X-rays), based on the GGA-PBE geometry in Alexandria.
No peak broadening, texture or thermal motion is included.

Principal peaks in the range 2θ from 10° to 90°, by angle:
24.56 deg, d 3.624, I 52, (0 1 2); 36.53 deg, d 2.460, I 100, (2 2 0); 40.30 deg, d 2.238, I 40, (1 2 3); 41.34 deg, d 2.184, I 61, (0 3 1); 42.33 deg, d 2.135, I 37, (-2 1 1); 43.47 deg, d 2.082, I 45, (1 0 -3)

Structural model:
```
data_Cd2H5Pt3
_chemical_formula_sum 'Cd4 H10 Pt6'
_symmetry_space_group_name_H-M 'P -1'
_symmetry_Int_Tables_number 2
_cell_length_a 5.505
_cell_length_b 7.203
_cell_length_c 7.269
_cell_angle_alpha 62.49
_cell_angle_beta 88.08
_cell_angle_gamma 68.12
loop_
_symmetry_equiv_pos_as_xyz
'x,y,z'
'-x,-y,-z'
loop_
_atom_site_label
_atom_site_fract_x
_atom_site_fract_y
_atom_site_fract_z
Cd1 0.076 0.161 0.128
Cd2 0.194 0.590 0.583
H1 0.050 0.676 0.232
H2 0.328 0.031 0.762
H3 0.400 0.406 0.036
H4 0.425 0.168 0.474
H5 0.484 0.253 0.736
Pt1 0.239 0.985 0.568
Pt2 0.287 0.451 0.248
Pt3 0.449 0.814 0.021
```

# 2
Ba4Nd2Cd3Se10: calculated powder X-ray diffraction pattern (Cu Kα X-rays), based on the GGA-PBE geometry in Alexandria.
No peak broadening, texture or thermal motion is included.

Principal peaks in the range 2θ from 10° to 90°, by angle:
28.26 deg, d 3.158, I 100, (1 1 6); 28.64 deg, d 3.117, I 59, (0 6 2); 33.53 deg, d 2.673, I 31, (1 5 4); 40.90 deg, d 2.207, I 23, (1 7 4); 41.03 deg, d 2.200, I 35, (2 0 0); 50.80 deg, d 1.797, I 23, (2 6 2)

Structural model:
```
data_Ba4Nd2Cd3Se10
_chemical_formula_sum 'Ba16 Nd8 Cd12 Se40'
_symmetry_space_group_name_H-M 'C m c 21'
_symmetry_Int_Tables_number 36
_cell_length_a 4.400
_cell_length_b 19.180
_cell_length_c 28.015
_cell_angle_alpha 90.00
_cell_angle_beta 90.00
_cell_angle_gamma 90.00
loop_
_symmetry_equiv_pos_as_xyz
'x,y,z'
'-x,-y,z+1/2'
'-x,y,z'
'x,-y,z+1/2'
'x+1/2,y+1/2,z'
'-x+1/2,-y+1/2,z+1/2'
'-x+1/2,y+1/2,z'
'x+1/2,-y+1/2,z+1/2'
loop_
_atom_site_label
_atom_site_fract_x
_atom_site_fract_y
_atom_site_fract_z
Ba1 0.000 0.075 0.000
Ba2 0.000 0.094 0.819
Ba3 0.000 0.334 0.048
Ba4 0.000 0.334 0.765
Nd1 0.000 0.003 0.658
Nd2 0.000 0.417 0.904
Cd1 0.000 0.285 0.426
Cd2 0.000 0.344 0.196
Cd3 0.000 0.352 0.612
Se1 0.000 0.079 0.333
Se2 0.000 0.092 0.476
Se3 0.000 0.154 0.167
Se4 0.000 0.157 0.639
Se5 0.000 0.263 0.888
Se6 0.000 0.290 0.280
Se7 0.000 0.293 0.526
Se8 0.000 0.428 0.410
Se9 0.000 0.485 0.228
Se10 0.000 0.490 0.583
```